Entry 1:
Diffraction record for CeAl3Hg3. The PXRD pattern is calculated, not measured: it uses DFT lattice parameters and positions (GGA-PBE) and λ = 1.5418 Å (Cu Kα).
Peak positions follow from Bragg's law for the DFT cell and can differ from measured ones.

Atomic structure:
```
CeAl3Hg3
1.0
7.281 0.000 0.000
0.000 7.281 0.000
0.000 0.000 7.281
Ce Al Hg
2 6 6
Cartesian
0.000 0.000 0.000 Ce
3.641 3.641 3.641 Ce
0.000 1.820 3.641 Al
0.000 5.461 3.641 Al
1.820 3.641 0.000 Al
3.641 0.000 1.820 Al
3.641 0.000 5.461 Al
5.461 3.641 0.000 Al
0.000 3.641 1.820 Hg
0.000 3.641 5.461 Hg
1.820 0.000 3.641 Hg
3.641 1.820 0.000 Hg
3.641 5.461 0.000 Hg
5.461 0.000 3.641 Hg
```

Top 10 peaks for 10° ≤ 2θ ≤ 80°, low angle first:
- 2θ 24.45, rel. 38
- 2θ 27.39, rel. 100
- 2θ 30.06, rel. 90
- 2θ 43.03, rel. 25
- 2θ 44.88, rel. 28
- 2θ 46.68, rel. 54
- 2θ 50.11, rel. 28
- 2θ 58.05, rel. 26
- 2θ 69.53, rel. 23
- 2θ 73.59, rel. 18

Entry 2:
Diffraction record for PmNd5Sb6. The PXRD pattern is calculated, not measured: it uses DFT lattice parameters and positions (GGA-PBE) and λ = 1.5418 Å (Cu Kα).
Peak positions follow from Bragg's law for the DFT cell and can differ from measured ones.

Atomic structure:
```
PmNd5Sb6
1.0
3.914 -6.780 0.000
3.914 6.780 0.000
-2.612 0.000 7.380
Pm Nd Sb
1 5 6
Cartesian
0.000 0.000 0.000 Pm
2.608 4.516 3.690 Nd
3.914 2.259 0.000 Nd
2.608 0.000 3.690 Nd
3.914 -2.259 0.000 Nd
2.608 -4.516 3.690 Nd
1.300 2.253 1.840 Sb
-0.010 0.000 5.539 Sb
1.300 -2.253 1.840 Sb
3.917 2.253 5.540 Sb
5.226 0.000 1.841 Sb
3.917 -2.253 5.540 Sb
```

Top 8 peaks for 10° ≤ 2θ ≤ 80°, low angle first:
- 2θ 24.12, rel. 1
- 2θ 27.92, rel. 100
- 2θ 39.89, rel. 77
- 2θ 47.16, rel. 1
- 2θ 49.39, rel. 27
- 2θ 57.69, rel. 13
- 2θ 65.28, rel. 35
- 2θ 72.44, rel. 26

Please write out number 1 again, unchanged.
Diffraction record for CeAl3Hg3. The PXRD pattern is calculated, not measured: it uses DFT lattice parameters and positions (GGA-PBE) and λ = 1.5418 Å (Cu Kα).
Peak positions follow from Bragg's law for the DFT cell and can differ from measured ones.

Atomic structure:
```
CeAl3Hg3
1.0
7.281 0.000 0.000
0.000 7.281 0.000
0.000 0.000 7.281
Ce Al Hg
2 6 6
Cartesian
0.000 0.000 0.000 Ce
3.641 3.641 3.641 Ce
0.000 1.820 3.641 Al
0.000 5.461 3.641 Al
1.820 3.641 0.000 Al
3.641 0.000 1.820 Al
3.641 0.000 5.461 Al
5.461 3.641 0.000 Al
0.000 3.641 1.820 Hg
0.000 3.641 5.461 Hg
1.820 0.000 3.641 Hg
3.641 1.820 0.000 Hg
3.641 5.461 0.000 Hg
5.461 0.000 3.641 Hg
```

Top 10 peaks for 10° ≤ 2θ ≤ 80°, low angle first:
- 2θ 24.45, rel. 38
- 2θ 27.39, rel. 100
- 2θ 30.06, rel. 90
- 2θ 43.03, rel. 25
- 2θ 44.88, rel. 28
- 2θ 46.68, rel. 54
- 2θ 50.11, rel. 28
- 2θ 58.05, rel. 26
- 2θ 69.53, rel. 23
- 2θ 73.59, rel. 18

Q: What is the formula in the first record?
A: CeAl3Hg3